No. 1
# In2H5Se3O12
Calculated XRD peak list, Cu Kα (weighted mean of Kα1 and Kα2). Input: DFT lattice parameters and positions (GGA-PBE).
Intensities are scaled so that the largest is 100.

Main lines, in order of rising 2θ (2θ from 10° to 90°):
- 2θ = 10.87°, I 74
- 2θ = 15.08°, I 73
- 2θ = 16.58°, I 63
- 2θ = 18.94°, I 100
- 2θ = 21.16°, I 64
- 2θ = 21.67°, I 86
- 2θ = 24.33°, I 65
- 2θ = 30.52°, I 50

Unit cell a=6.106 b=11.383 c=11.728 alpha=91.30 beta=91.92 gamma=105.38
Atoms (fractional coordinates):
In  0.000  0.000  0.000
In  0.000  0.000  0.500
In  0.292  0.604  0.234
In  0.708  0.396  0.766
H  0.067  0.486  0.261
H  0.142  0.900  0.955
H  0.223  0.587  0.591
H  0.296  0.550  0.896
H  0.396  0.997  0.662
H  0.604  0.003  0.338
H  0.704  0.450  0.104
H  0.777  0.413  0.409
H  0.858  0.100  0.045
H  0.933  0.514  0.739
Se  0.263  0.897  0.260
Se  0.414  0.311  0.013
Se  0.460  0.300  0.492
Se  0.540  0.700  0.508
Se  0.586  0.689  0.987
Se  0.737  0.103  0.740
O  0.138  0.993  0.202
O  0.193  0.863  0.392
O  0.221  0.770  0.176
O  0.223  0.355  0.084
O  0.243  0.655  0.539
O  0.315  0.638  0.912
O  0.328  0.392  0.433
O  0.371  0.155  0.453
O  0.382  0.165  0.989
O  0.435  0.039  0.738
O  0.454  0.392  0.889
O  0.459  0.309  0.637
O  0.541  0.691  0.363
O  0.546  0.608  0.111
O  0.565  0.961  0.262
O  0.618  0.835  0.011
O  0.629  0.845  0.547
O  0.672  0.608  0.567
O  0.685  0.362  0.088
O  0.757  0.345  0.461
O  0.777  0.645  0.916
O  0.779  0.230  0.824
O  0.807  0.137  0.608
O  0.862  0.007  0.798

***

No. 2
# RbInH3
Calculated XRD peak list, Cu Kα (weighted mean of Kα1 and Kα2). Input: DFT lattice parameters and positions (GGA-PBE).
Intensities are scaled so that the largest is 100.

Main lines, in order of rising 2θ (2θ from 10° to 90°):
- 2θ = 20.07°, I 3
- 2θ = 28.53°, I 100
- 2θ = 40.79°, I 20
- 2θ = 50.53°, I 40
- 2θ = 59.05°, I 13
- 2θ = 66.87°, I 17
- 2θ = 74.25°, I 4
- 2θ = 81.37°, I 20

Unit cell a=6.257 b=6.257 c=6.257 alpha=60.00 beta=60.00 gamma=60.00
Atoms (fractional coordinates):
Rb  0.250  0.250  0.250
Rb  0.750  0.750  0.750
In  0.000  0.000  0.000
In  0.500  0.500  0.500
H  0.225  0.225  0.775
H  0.225  0.775  0.225
H  0.225  0.775  0.775
H  0.775  0.225  0.225
H  0.775  0.225  0.775
H  0.775  0.775  0.225

***

No. 3
# HIr
Calculated XRD peak list, Cu Kα (weighted mean of Kα1 and Kα2). Input: DFT lattice parameters and positions (GGA-PBE).
Intensities are scaled so that the largest is 100.

Main lines, in order of rising 2θ (2θ from 10° to 90°):
- 2θ = 32.34°, I 41
- 2θ = 37.23°, I 22
- 2θ = 40.76°, I 100
- 2θ = 50.12°, I 18
- 2θ = 63.43°, I 28
- 2θ = 67.12°, I 16
- 2θ = 76.49°, I 22
- 2θ = 81.59°, I 14

Unit cell a=2.789 b=2.789 c=5.537 alpha=90.00 beta=90.00 gamma=120.00
Atoms (fractional coordinates):
H  0.333  0.667  0.000
H  0.667  0.333  0.500
Ir  0.333  0.667  0.319
Ir  0.667  0.333  0.819

***

No. 4
# Li3H6Ir
Calculated XRD peak list, Cu Kα (weighted mean of Kα1 and Kα2). Input: DFT lattice parameters and positions (GGA-PBE).
Intensities are scaled so that the largest is 100.

Main lines, in order of rising 2θ (2θ from 10° to 90°):
- 2θ = 20.91°, I 51
- 2θ = 21.36°, I 39
- 2θ = 23.30°, I 81
- 2θ = 23.82°, I 100
- 2θ = 30.06°, I 27
- 2θ = 38.45°, I 27
- 2θ = 42.68°, I 37
- 2θ = 44.87°, I 28

Unit cell a=8.497 b=4.760 c=8.550 alpha=90.00 beta=90.00 gamma=90.00
Atoms (fractional coordinates):
Li  0.042  0.250  0.129
Li  0.106  0.750  0.525
Li  0.227  0.250  0.743
Li  0.273  0.750  0.243
Li  0.394  0.250  0.025
Li  0.458  0.750  0.629
Li  0.542  0.250  0.371
Li  0.606  0.750  0.975
Li  0.727  0.250  0.757
Li  0.773  0.750  0.257
Li  0.894  0.250  0.475
Li  0.958  0.750  0.871
H  0.104  0.007  0.323
H  0.104  0.493  0.323
H  0.111  0.250  0.557
H  0.156  0.501  0.971
H  0.156  0.999  0.971
H  0.164  0.750  0.738
H  0.336  0.250  0.238
H  0.344  0.001  0.471
H  0.344  0.499  0.471
H  0.389  0.750  0.057
H  0.396  0.507  0.823
H  0.396  0.993  0.823
H  0.604  0.007  0.177
H  0.604  0.493  0.177
H  0.611  0.250  0.943
H  0.656  0.501  0.529
H  0.656  0.999  0.529
H  0.664  0.750  0.762
H  0.836  0.250  0.262
H  0.844  0.001  0.029
H  0.844  0.499  0.029
H  0.889  0.750  0.443
H  0.896  0.507  0.677
H  0.896  0.993  0.677
Ir  0.225  0.250  0.398
Ir  0.275  0.750  0.898
Ir  0.725  0.250  0.102
Ir  0.775  0.750  0.602

***

Copy entry 2 word for word.
# RbInH3
Calculated XRD peak list, Cu Kα (weighted mean of Kα1 and Kα2). Input: DFT lattice parameters and positions (GGA-PBE).
Intensities are scaled so that the largest is 100.

Main lines, in order of rising 2θ (2θ from 10° to 90°):
- 2θ = 20.07°, I 3
- 2θ = 28.53°, I 100
- 2θ = 40.79°, I 20
- 2θ = 50.53°, I 40
- 2θ = 59.05°, I 13
- 2θ = 66.87°, I 17
- 2θ = 74.25°, I 4
- 2θ = 81.37°, I 20

Unit cell a=6.257 b=6.257 c=6.257 alpha=60.00 beta=60.00 gamma=60.00
Atoms (fractional coordinates):
Rb  0.250  0.250  0.250
Rb  0.750  0.750  0.750
In  0.000  0.000  0.000
In  0.500  0.500  0.500
H  0.225  0.225  0.775
H  0.225  0.775  0.225
H  0.225  0.775  0.775
H  0.775  0.225  0.225
H  0.775  0.225  0.775
H  0.775  0.775  0.225